The following is a simulated X-ray diffraction stick pattern of Pm5Y2ErSc. It was derived from a PBE-relaxed structure, using CuKα.

Largest 12 diffraction maxima, by angle, 10 to 90 degrees two-theta:
27.09 deg, d 3.292, intensity 318
31.50 deg, d 2.840, intensity 118
31.71 deg, d 2.822, intensity 1000
32.70 deg, d 2.739, intensity 130
33.45 deg, d 2.679, intensity 323
33.61 deg, d 2.666, intensity 108
35.31 deg, d 2.542, intensity 151
47.47 deg, d 1.915, intensity 91
49.43 deg, d 1.844, intensity 116
58.52 deg, d 1.577, intensity 104
58.70 deg, d 1.573, intensity 171
60.39 deg, d 1.533, intensity 119

Atomic structure:
Cell lengths 11.2775, 11.2775, 10.1673 Å; angles 90.00, 90.00, 152.51 degrees
Atoms (fractional coordinates):
Pm1 0.0000 0.0000 0.0000
Pm2 0.0000 0.0000 0.5000
Pm3 0.1258 0.8742 0.7500
Pm4 0.2212 0.7788 0.0628
Pm5 0.2212 0.7788 0.4372
Pm6 0.4992 0.5008 0.2500
Pm7 0.5008 0.4992 0.7500
Pm8 0.7788 0.2212 0.5628
Pm9 0.7788 0.2212 0.9372
Pm10 0.8742 0.1258 0.2500
Y1 0.3841 0.6159 0.5013
Y2 0.3841 0.6159 0.9987
Y3 0.6159 0.3841 0.0013
Y4 0.6159 0.3841 0.4987
Er1 0.1012 0.8988 0.2500
Er2 0.8988 0.1012 0.7500
Sc1 0.2849 0.7151 0.7500
Sc2 0.7151 0.2849 0.2500